Entry 1:
Theoretical powder XRD pattern
Compound: LaTb8Th4
Radiation: a wavelength of 1.5418 Å
Structure: a cell relaxed with GGA-PBE
Neutral-atom scattering factors, no anomalous dispersion.

Peak list (8 most intense, 10° ≤ 2θ ≤ 90°, most intense first)
2θ = 30.95°, rel. 100; 2θ = 32.57°, rel. 48; 2θ = 38.87°, rel. 32; 2θ = 29.92°, rel. 32; 2θ = 49.33°, rel. 30; 2θ = 28.08°, rel. 26; 2θ = 58.77°, rel. 26; 2θ = 52.71°, rel. 20

Atomic structure:
a = 9.9228 Å, b = 9.9228 Å, c = 9.9228 Å
α = 43.72°, β = 43.72°, γ = 43.72°
Fractional positions:
La1 0.0000 0.0000 0.0000
Tb1 0.2495 0.2495 0.6919
Tb2 0.2495 0.6919 0.2495
Tb3 0.2780 0.2780 0.2780
Tb4 0.3081 0.7505 0.7505
Tb5 0.6919 0.2495 0.2495
Tb6 0.7220 0.7220 0.7220
Tb7 0.7505 0.3081 0.7505
Tb8 0.7505 0.7505 0.3081
Th1 0.0000 0.0000 0.5000
Th2 0.0000 0.5000 0.0000
Th3 0.5000 0.0000 0.0000
Th4 0.5000 0.5000 0.5000

---

Entry 2:
Theoretical powder XRD pattern
Compound: BeCdPb2
Radiation: a wavelength of 1.5418 Å
Structure: a cell relaxed with GGA-PBE
Neutral-atom scattering factors, no anomalous dispersion.

Peak list (8 most intense, 10° ≤ 2θ ≤ 90°, most intense first)
2θ = 35.76°, rel. 100; 2θ = 29.94°, rel. 77; 2θ = 32.56°, rel. 41; 2θ = 28.09°, rel. 41; 2θ = 43.53°, rel. 26; 2θ = 61.71°, rel. 25; 2θ = 50.87°, rel. 23; 2θ = 60.19°, rel. 22

Atomic structure:
a = 6.2231 Å, b = 6.2231 Å, c = 6.2231 Å
α = 148.98°, β = 127.55°, γ = 62.19°
Fractional positions:
Be1 0.0000 0.0000 0.0000
Cd1 0.1865 0.6865 0.5000
Pb1 0.4845 0.4845 0.0000
Pb2 0.7880 0.2880 0.5000

---

Entry 3:
Theoretical powder XRD pattern
Compound: Y3HgPt
Radiation: a wavelength of 1.5418 Å
Structure: a cell relaxed with GGA-PBE
Neutral-atom scattering factors, no anomalous dispersion.

Peak list (8 most intense, 10° ≤ 2θ ≤ 90°, most intense first)
2θ = 34.97°, rel. 100; 2θ = 35.31°, rel. 90; 2θ = 23.79°, rel. 81; 2θ = 23.95°, rel. 47; 2θ = 40.49°, rel. 44; 2θ = 30.95°, rel. 34; 2θ = 62.28°, rel. 33; 2θ = 65.60°, rel. 21

Atomic structure:
a = 8.9132 Å, b = 8.9132 Å, c = 7.3992 Å
α = 90.00°, β = 90.00°, γ = 76.56°
Fractional positions:
Y1 0.1305 0.1305 0.0000
Y2 0.1305 0.1305 0.5000
Y3 0.1978 0.5355 0.5051
Y4 0.1978 0.5355 0.9949
Y5 0.4645 0.8022 0.5051
Y6 0.4645 0.8022 0.9949
Y7 0.5355 0.1978 0.0051
Y8 0.5355 0.1978 0.4949
Y9 0.8022 0.4645 0.0051
Y10 0.8022 0.4645 0.4949
Y11 0.8695 0.8695 0.0000
Y12 0.8695 0.8695 0.5000
Hg1 0.1688 0.8312 0.2500
Hg2 0.4988 0.5012 0.2500
Hg3 0.5012 0.4988 0.7500
Hg4 0.8312 0.1688 0.7500
Pt1 0.0587 0.3743 0.2500
Pt2 0.3743 0.0587 0.7500
Pt3 0.6257 0.9413 0.2500
Pt4 0.9413 0.6257 0.7500